# CsCeGaI6
Calculated X-ray powder pattern, a wavelength of 1.5418 Å. Input: the GGA-PBE geometry in Alexandria.

Peak list (10 most intense, 15 to 90 degrees two-theta, in order of falling intensity)
23.95°, 3.715 Å, I = 100, hkl 1 1 3
15.41°, 5.752 Å, I = 67, hkl 1 1 0
30.69°, 2.914 Å, I = 62, hkl 2 1 3
31.10°, 2.876 Å, I = 49, hkl 2 2 0
37.99°, 2.369 Å, I = 49, hkl 3 0 3
24.45°, 3.640 Å, I = 39, hkl 0 0 4
39.63°, 2.274 Å, I = 21, hkl 3 1 3
46.33°, 1.960 Å, I = 17, hkl 1 1 7
49.05°, 1.857 Å, I = 16, hkl 2 2 6
34.83°, 2.576 Å, I = 16, hkl 2 1 4

Structural model:
abc: 8.134 8.134 14.597
angles: 90.00 90.00 90.00
Positions (direct):
Cs1 0.000 0.000 0.000
Cs2 0.500 0.500 0.500
Ce1 0.000 0.000 0.339
Ce2 0.500 0.500 0.839
Ga1 0.000 0.000 0.664
Ga2 0.500 0.500 0.164
I1 0.170 0.170 0.502
I2 0.207 0.207 0.209
I3 0.238 0.238 0.820
I4 0.262 0.738 0.320
I5 0.293 0.707 0.709
I6 0.330 0.670 0.002
I7 0.670 0.330 0.002
I8 0.707 0.293 0.709
I9 0.738 0.262 0.320
I10 0.762 0.762 0.820
I11 0.793 0.793 0.209
I12 0.830 0.830 0.502

# RbGaGe
Calculated X-ray powder pattern, a wavelength of 1.5418 Å. Input: the GGA-PBE geometry in Alexandria.

Peak list (10 most intense, 15 to 90 degrees two-theta, in order of falling intensity)
28.32°, 3.151 Å, I = 100, hkl 0 2 2
52.71°, 1.737 Å, I = 37, hkl 2 0 4
30.73°, 2.910 Å, I = 29, hkl 0 0 4
41.70°, 2.166 Å, I = 25, hkl 1 3 0
53.16°, 1.723 Å, I = 17, hkl 0 2 6
51.25°, 1.783 Å, I = 13, hkl 2 2 2
41.81°, 2.161 Å, I = 12, hkl 2 0 0
15.22°, 5.820 Å, I = 11, hkl 0 0 2
79.36°, 1.207 Å, I = 11, hkl 2 0 8
68.06°, 1.378 Å, I = 10, hkl 1 5 2

Structural model:
abc: 4.321 7.509 11.639
angles: 90.00 90.00 90.00
Positions (direct):
Rb1 0.000 0.000 0.248
Rb2 0.000 0.000 0.752
Rb3 0.500 0.500 0.252
Rb4 0.500 0.500 0.748
Ga1 0.000 0.332 0.000
Ga2 0.000 0.668 0.000
Ga3 0.500 0.168 0.500
Ga4 0.500 0.832 0.500
Ge1 0.000 0.334 0.500
Ge2 0.000 0.666 0.500
Ge3 0.500 0.166 0.000
Ge4 0.500 0.834 0.000